Record 1
Calculated X-ray diffraction stick pattern of Pm2P4RuRh3 for CuKα, from a cell relaxed with PBE.

Cell and atoms:
a b c (Å): 4.1623 4.1623 9.5266
angles (deg): 90.00 90.00 90.00
Fractional positions:
1 Pm 0.0000 0.5000 0.2395
2 Pm 0.5000 0.0000 0.7605
3 P 0.0000 0.0000 0.0000
4 P 0.0000 0.5000 0.6332
5 P 0.5000 0.0000 0.3668
6 P 0.5000 0.5000 0.0000
7 Ru 0.0000 0.0000 0.5000
8 Rh 0.0000 0.5000 0.8860
9 Rh 0.5000 0.0000 0.1140
10 Rh 0.5000 0.5000 0.5000

Most intense lines, 2θ = 15–90°, by angle:
| 2θ/deg | I/Imax |
| --- | --- |
| 28.1 | 12 |
| 30.4 | 24 |
| 31.8 | 39 |
| 35.6 | 89 |
| 35.9 | 100 |
| 43.5 | 70 |
| 52.8 | 23 |
| 57.4 | 44 |
| 63.2 | 22 |
| 67.0 | 20 |
| 70.8 | 17 |
| 74.8 | 23 |



Record 2
Calculated X-ray diffraction stick pattern of Pm8P3RhSe4 for CuKα, from a cell relaxed with PBE.

Cell and atoms:
a b c (Å): 8.3948 8.3948 8.3948
angles (deg): 59.37 59.37 59.37
Fractional positions:
1 Pm 0.2438 0.2438 0.2438
2 Pm 0.2450 0.7430 0.7430
3 Pm 0.2570 0.2570 0.7550
4 Pm 0.2570 0.7550 0.2570
5 Pm 0.7430 0.2450 0.7430
6 Pm 0.7430 0.7430 0.2450
7 Pm 0.7550 0.2570 0.2570
8 Pm 0.7562 0.7562 0.7562
9 P 0.0000 0.0000 0.5000
10 P 0.0000 0.5000 0.0000
11 P 0.5000 0.0000 0.0000
12 Rh 0.5000 0.5000 0.5000
13 Se 0.0000 0.0000 0.0000
14 Se 0.0000 0.5000 0.5000
15 Se 0.5000 0.0000 0.5000
16 Se 0.5000 0.5000 0.0000

Most intense lines, 2θ = 15–90°, by angle:
| 2θ/deg | I/Imax |
| --- | --- |
| 25.9 | 7 |
| 26.2 | 21 |
| 30.3 | 100 |
| 43.1 | 36 |
| 43.5 | 37 |
| 51.3 | 7 |
| 53.9 | 19 |
| 62.9 | 12 |
| 71.1 | 15 |
| 71.7 | 16 |
| 79.6 | 12 |
| 79.9 | 6 |



Record 3
Calculated X-ray diffraction stick pattern of Pm3SiP2Rh9 for CuKα, from a cell relaxed with PBE.

Cell and atoms:
a b c (Å): 6.3465 6.3465 7.7772
angles (deg): 90.00 90.00 120.00
Fractional positions:
1 Pm 0.0000 0.0000 0.0000
2 Pm 0.3333 0.6667 0.6617
3 Pm 0.6667 0.3333 0.3383
4 Si 0.0000 0.0000 0.5000
5 P 0.3333 0.6667 0.1649
6 P 0.6667 0.3333 0.8351
7 Rh 0.0000 0.5000 0.0000
8 Rh 0.1665 0.3330 0.3267
9 Rh 0.1665 0.8335 0.3267
10 Rh 0.3330 0.1665 0.6733
11 Rh 0.5000 0.0000 0.0000
12 Rh 0.5000 0.5000 0.0000
13 Rh 0.6670 0.8335 0.3267
14 Rh 0.8335 0.1665 0.6733
15 Rh 0.8335 0.6670 0.6733

Most intense lines, 2θ = 15–90°, by angle:
| 2θ/deg | I/Imax |
| --- | --- |
| 28.1 | 7 |
| 34.6 | 100 |
| 40.2 | 64 |
| 49.8 | 3 |
| 58.1 | 42 |
| 65.8 | 1 |
| 69.5 | 38 |
| 73.0 | 14 |
| 80.0 | 2 |
| 86.8 | 7 |



Record 4
Calculated X-ray diffraction stick pattern of PmUP2Rh5 for CuKα, from a cell relaxed with PBE.

Cell and atoms:
a b c (Å): 4.0080 4.0080 10.7546
angles (deg): 90.00 90.00 90.00
Fractional positions:
1 Pm 0.0000 0.0000 0.0000
2 U 0.5000 0.5000 0.5000
3 P 0.5000 0.5000 0.2094
4 P 0.5000 0.5000 0.7906
5 Rh 0.0000 0.5000 0.3241
6 Rh 0.0000 0.5000 0.6759
7 Rh 0.5000 0.0000 0.3241
8 Rh 0.5000 0.0000 0.6759
9 Rh 0.5000 0.5000 0.0000

Most intense lines, 2θ = 15–90°, by angle:
| 2θ/deg | I/Imax |
| --- | --- |
| 22.2 | 23 |
| 23.7 | 39 |
| 24.8 | 23 |
| 33.5 | 25 |
| 35.8 | 100 |
| 40.6 | 29 |
| 45.2 | 52 |
| 46.6 | 41 |
| 50.9 | 20 |
| 65.9 | 17 |
| 70.5 | 24 |
| 77.4 | 22 |



Record 5
Calculated X-ray diffraction stick pattern of PmZnP2Rh5 for CuKα, from a cell relaxed with PBE.

Cell and atoms:
a b c (Å): 4.1052 4.1052 9.4295
angles (deg): 90.00 90.00 90.00
Fractional positions:
1 Pm 0.0000 0.0000 0.0000
2 Zn 0.0000 0.0000 0.5000
3 P 0.5000 0.5000 0.2386
4 P 0.5000 0.5000 0.7614
5 Rh 0.0000 0.5000 0.3387
6 Rh 0.0000 0.5000 0.6613
7 Rh 0.5000 0.0000 0.3387
8 Rh 0.5000 0.0000 0.6613
9 Rh 0.5000 0.5000 0.0000

Most intense lines, 2θ = 15–90°, by angle:
| 2θ/deg | I/Imax |
| --- | --- |
| 28.4 | 73 |
| 28.8 | 24 |
| 32.3 | 100 |
| 36.3 | 87 |
| 44.1 | 81 |
| 49.8 | 71 |
| 53.3 | 49 |
| 64.2 | 26 |
| 71.6 | 20 |
| 76.0 | 20 |
| 76.3 | 22 |
| 85.4 | 30 |



Record 6
Calculated X-ray diffraction stick pattern of Pm6P5S for CuKα, from a cell relaxed with PBE.

Cell and atoms:
a b c (Å): 7.1303 7.1303 7.1357
angles (deg): 99.59 99.59 119.97
Fractional positions:
1 Pm 0.0797 0.4161 0.7483
2 Pm 0.2478 0.2478 0.2525
3 Pm 0.4161 0.0797 0.7483
4 Pm 0.5839 0.9203 0.2517
5 Pm 0.7522 0.7522 0.7475
6 Pm 0.9203 0.5839 0.2517
7 P 0.0000 0.0000 0.5000
8 P 0.1668 0.8332 0.0000
9 P 0.3338 0.6662 0.5000
10 P 0.6662 0.3338 0.5000
11 P 0.8332 0.1668 0.0000
12 S 0.5000 0.5000 0.0000

Most intense lines, 2θ = 15–90°, by angle:
| 2θ/deg | I/Imax |
| --- | --- |
| 26.5 | 80 |
| 30.7 | 100 |
| 44.0 | 73 |
| 52.1 | 26 |
| 52.1 | 13 |
| 54.6 | 26 |
| 63.9 | 12 |
| 70.5 | 13 |
| 72.6 | 33 |
| 80.8 | 25 |
| 86.9 | 6 |
| 86.9 | 6 |



Record 7
Calculated X-ray diffraction stick pattern of Pm4P2S for CuKα, from a cell relaxed with PBE.

Cell and atoms:
a b c (Å): 7.8277 7.8277 7.8277
angles (deg): 110.00 110.00 108.42
Fractional positions:
1 Pm 0.2037 0.2573 0.5536
2 Pm 0.2037 0.6501 0.9464
3 Pm 0.2573 0.2037 0.0536
4 Pm 0.3499 0.7963 0.5536
5 Pm 0.6501 0.2037 0.4464
6 Pm 0.7427 0.7963 0.9464
7 Pm 0.7963 0.3499 0.0536
8 Pm 0.7963 0.7427 0.4464
9 P 0.0000 0.5000 0.5000
10 P 0.5000 0.0000 0.0000
11 P 0.5000 0.5000 0.0000
12 P 0.5000 0.5000 0.5000
13 S 0.1250 0.8750 0.2500
14 S 0.8750 0.1250 0.7500

Most intense lines, 2θ = 15–90°, by angle:
| 2θ/deg | I/Imax |
| --- | --- |
| 24.2 | 21 |
| 27.8 | 100 |
| 28.1 | 83 |
| 30.9 | 64 |
| 31.4 | 52 |
| 37.4 | 33 |
| 40.2 | 27 |
| 47.1 | 40 |
| 51.3 | 27 |
| 51.9 | 21 |
| 59.7 | 19 |
| 74.2 | 22 |



Record 8
Calculated X-ray diffraction stick pattern of Pm2PS for CuKα, from a cell relaxed with PBE.

Cell and atoms:
a b c (Å): 5.7729 5.7729 11.5829
angles (deg): 90.00 90.00 90.00
Fractional positions:
1 Pm 0.0000 0.2500 0.1209
2 Pm 0.0000 0.2500 0.6291
3 Pm 0.0000 0.7500 0.3709
4 Pm 0.0000 0.7500 0.8791
5 Pm 0.5000 0.2500 0.3791
6 Pm 0.5000 0.2500 0.8709
7 Pm 0.5000 0.7500 0.1291
8 Pm 0.5000 0.7500 0.6209
9 P 0.0000 0.2500 0.8750
10 P 0.0000 0.7500 0.1250
11 P 0.5000 0.2500 0.6250
12 P 0.5000 0.7500 0.3750
13 S 0.0000 0.2500 0.3750
14 S 0.0000 0.7500 0.6250
15 S 0.5000 0.2500 0.1250
16 S 0.5000 0.7500 0.8750

Most intense lines, 2θ = 15–90°, by angle:
| 2θ/deg | I/Imax |
| --- | --- |
| 26.7 | 100 |
| 30.9 | 43 |
| 31.0 | 86 |
| 44.3 | 93 |
| 52.4 | 16 |
| 52.6 | 33 |
| 55.0 | 32 |
| 71.1 | 13 |
| 73.1 | 14 |
| 73.3 | 28 |
| 81.5 | 10 |
| 81.7 | 21 |



Record 9
Calculated X-ray diffraction stick pattern of Pm4P3S for CuKα, from a cell relaxed with PBE.

Cell and atoms:
a b c (Å): 5.8111 5.8111 11.6228
angles (deg): 90.00 90.00 90.00
Fractional positions:
1 Pm 0.0000 0.0000 0.2474
2 Pm 0.0000 0.0000 0.7526
3 Pm 0.0000 0.5000 0.0000
4 Pm 0.0000 0.5000 0.5000
5 Pm 0.5000 0.0000 0.0000
6 Pm 0.5000 0.0000 0.5000
7 Pm 0.5000 0.5000 0.2526
8 Pm 0.5000 0.5000 0.7474
9 P 0.0000 0.0000 0.0000
10 P 0.0000 0.5000 0.2500
11 P 0.0000 0.5000 0.7500
12 P 0.5000 0.0000 0.2500
13 P 0.5000 0.0000 0.7500
14 P 0.5000 0.5000 0.5000
15 S 0.0000 0.0000 0.5000
16 S 0.5000 0.5000 0.0000

Most intense lines, 2θ = 15–90°, by angle:
| 2θ/deg | I/Imax |
| --- | --- |
| 26.6 | 79 |
| 30.8 | 100 |
| 44.1 | 73 |
| 52.2 | 39 |
| 54.7 | 26 |
| 64.1 | 12 |
| 70.7 | 16 |
| 72.8 | 33 |
| 81.1 | 25 |
| 87.2 | 12 |



Record 10
Calculated X-ray diffraction stick pattern of PmScPS for CuKα, from a cell relaxed with PBE.

Cell and atoms:
a b c (Å): 3.8354 3.8354 20.1758
angles (deg): 90.00 90.00 120.00
Fractional positions:
1 Pm 0.0000 0.0000 0.0000
2 Pm 0.3333 0.6667 0.6667
3 Pm 0.6667 0.3333 0.3333
4 Sc 0.0000 0.0000 0.8223
5 Sc 0.3333 0.6667 0.4890
6 Sc 0.6667 0.3333 0.1556
7 P 0.0000 0.0000 0.4205
8 P 0.3333 0.6667 0.0872
9 P 0.6667 0.3333 0.7539
10 S 0.0000 0.0000 0.2364
11 S 0.3333 0.6667 0.9031
12 S 0.6667 0.3333 0.5698

Most intense lines, 2θ = 15–90°, by angle:
| 2θ/deg | I/Imax |
| --- | --- |
| 26.5 | 21 |
| 27.2 | 72 |
| 28.3 | 44 |
| 32.3 | 55 |
| 35.0 | 100 |
| 41.5 | 37 |
| 47.4 | 49 |
| 53.1 | 16 |
| 55.1 | 17 |
| 60.3 | 20 |
| 75.1 | 20 |
| 80.0 | 17 |



Record 11
Calculated X-ray diffraction stick pattern of Pm4Te2PS for CuKα, from a cell relaxed with PBE.

Cell and atoms:
a b c (Å): 7.2723 4.2066 7.6311
angles (deg): 90.00 108.57 90.00
Fractional positions:
1 Pm 0.2336 0.0000 0.2100
2 Pm 0.2608 0.5000 0.7909
3 Pm 0.7392 0.5000 0.2091
4 Pm 0.7664 0.0000 0.7900
5 Te 0.0000 0.0000 0.5000
6 Te 0.5000 0.5000 0.5000
7 P 0.0000 0.5000 0.0000
8 S 0.5000 0.0000 0.0000

Most intense lines, 2θ = 15–90°, by angle:
| 2θ/deg | I/Imax |
| --- | --- |
| 24.8 | 11 |
| 25.8 | 13 |
| 29.6 | 100 |
| 32.1 | 19 |
| 37.3 | 8 |
| 41.5 | 31 |
| 43.0 | 38 |
| 53.1 | 19 |
| 58.2 | 14 |
| 61.1 | 9 |
| 61.3 | 10 |
| 70.6 | 11 |



Record 12
Calculated X-ray diffraction stick pattern of Pm5SbP4 for CuKα, from a cell relaxed with PBE.

Cell and atoms:
a b c (Å): 7.2878 7.2878 10.3484
angles (deg): 118.29 118.29 33.36
Fractional positions:
1 Pm 0.0000 0.0000 0.0000
2 Pm 0.2056 0.2056 0.8129
3 Pm 0.3918 0.3918 0.6099
4 Pm 0.6082 0.6082 0.3901
5 Pm 0.7944 0.7944 0.1871
6 Sb 0.0000 0.0000 0.5000
7 P 0.2020 0.2020 0.2954
8 P 0.4021 0.4021 0.1004
9 P 0.5979 0.5979 0.8996
10 P 0.7980 0.7980 0.7046

Most intense lines, 2θ = 15–90°, by angle:
| 2θ/deg | I/Imax |
| --- | --- |
| 25.8 | 11 |
| 26.0 | 35 |
| 30.1 | 100 |
| 42.9 | 36 |
| 43.1 | 24 |
| 43.3 | 12 |
| 50.9 | 9 |
| 51.1 | 8 |
| 53.5 | 13 |
| 62.5 | 8 |
| 70.7 | 10 |
| 71.0 | 10 |